The following is a calculated powder diffraction line list of Pr2SmYTm2. It was derived from a DFT-relaxed cell (GGA-PBE, Alexandria), using copper Kα.
Lines closer than 0.1° are merged.

Structure:
```
Pr2SmYTm2
1.0
7.0802 0.0000 0.0000
0.0000 5.6912 0.0000
0.0000 0.0000 9.8411
Pr Sm Y Tm
4 2 2 4
Direct
0.0000 0.0000 0.0000 Pr
0.2500 0.5000 0.1766 Pr
0.5000 0.0000 0.0000 Pr
0.7500 0.5000 0.8234 Pr
0.2500 0.0000 0.6590 Sm
0.7500 0.0000 0.3410 Sm
0.0000 0.5000 0.5000 Y
0.5000 0.5000 0.5000 Y
0.2500 0.0000 0.3320 Tm
0.2500 0.5000 0.8354 Tm
0.7500 0.0000 0.6680 Tm
0.7500 0.5000 0.1646 Tm
```

Largest 6 diffraction maxima, by angle, 2θ = 10–90°:
2θ 31.1, rel. 84, hkl 2 0 2
2θ 31.5, rel. 100, hkl 0 2 0
2θ 40.7, rel. 21, hkl 2 2 0
2θ 44.8, rel. 30, hkl 2 2 2
2θ 55.8, rel. 32, hkl 2 3 1
2θ 61.7, rel. 29, hkl 4 2 0